Record 1
Diffraction record for BaCaCuO3. The XRD peak list is computed, not measured: it uses a structure optimized by DFT (PBE) and λ = 1.5418 Å (Cu Kα).
Kinematic intensities with the Lorentz-polarization factor, no thermal factor.

Cell and atoms:
Unit cell a=13.0989 b=3.9785 c=7.2283 alpha=90.00 beta=105.66 gamma=90.00
Space group C2/m (No. 12)
Symmetry-distinct sites (fractional):
Ba1 0.1449 0.0000 0.0777 [4 per cell]
Ca1 0.1473 0.0000 0.5681 [4 per cell]
Cu1 0.0023 0.5000 0.2848 [4 per cell]
O1 0.0009 0.0000 0.2850 [4 per cell]
O2 0.1513 0.5000 0.7990 [4 per cell]
O3 0.1584 0.5000 0.3522 [4 per cell]

Largest 12 diffraction maxima, by angle, 2θ from 10° to 90°:
2θ 12.72, 6.960 Å, I 20, hkl 0 0 1; 2θ 25.82, 3.451 Å, I 29, hkl 1 1 -1; 2θ 27.72, 3.218 Å, I 15, hkl 4 0 -1; 2θ 30.95, 2.890 Å, I 62, hkl 3 1 0; 2θ 32.57, 2.749 Å, I 37, hkl 2 0 2; 2θ 32.78, 2.732 Å, I 35, hkl 4 0 -2; 2θ 33.50, 2.675 Å, I 100, hkl 1 1 -2; 2θ 43.03, 2.102 Å, I 21, hkl 6 0 0; 2θ 45.60, 1.989 Å, I 27, hkl 0 2 0; 2θ 50.51, 1.807 Å, I 15, hkl 2 0 -4; 2θ 57.16, 1.612 Å, I 14, hkl 2 2 2; 2θ 57.29, 1.608 Å, I 14, hkl 4 2 -2


Record 2
Diffraction record for BaSrCa2TlCu3O9. The XRD peak list is computed, not measured: it uses a structure optimized by DFT (PBE) and λ = 1.5418 Å (Cu Kα).
Kinematic intensities with the Lorentz-polarization factor, no thermal factor.

Cell and atoms:
Unit cell a=3.8423 b=3.8271 c=15.8563 alpha=90.00 beta=90.10 gamma=90.00
Space group Pm (No. 6)
Symmetry-distinct sites (fractional):
Ba1 0.0000 0.0000 0.0000 [1 per cell]
Sr1 0.0014 0.0000 0.6685 [1 per cell]
Ca1 0.0009 0.0000 0.2352 [1 per cell]
Ca2 0.0024 0.0000 0.4462 [1 per cell]
Tl1 0.4391 0.5000 0.8297 [1 per cell]
Cu1 0.5008 0.5000 0.1305 [1 per cell]
Cu2 0.5017 0.5000 0.3411 [1 per cell]
Cu3 0.5039 0.5000 0.5548 [1 per cell]
O1 0.0007 0.5000 0.1419 [1 per cell]
O2 0.0016 0.5000 0.3418 [1 per cell]
O3 0.0038 0.5000 0.5416 [1 per cell]
O4 0.0796 0.0000 0.8261 [1 per cell]
O5 0.4998 0.0000 0.1425 [1 per cell]
O6 0.5015 0.0000 0.3414 [1 per cell]
O7 0.5023 0.0000 0.5403 [1 per cell]
O8 0.5098 0.5000 0.9636 [1 per cell]
O9 0.5233 0.5000 0.6961 [1 per cell]

Largest 12 diffraction maxima, by angle, 2θ from 10° to 90°:
2θ 25.77, 3.457 Å, I 19, hkl 1 0 2; 2θ 25.85, 3.447 Å, I 18, hkl 0 1 2; 2θ 28.76, 3.104 Å, I 74, hkl 1 0 -3; 2θ 32.49, 2.756 Å, I 100, hkl 1 0 -4; 2θ 33.04, 2.712 Å, I 85, hkl 1 1 0; 2θ 33.53, 2.673 Å, I 21, hkl 1 1 -1; 2θ 33.92, 2.643 Å, I 23, hkl 0 0 6; 2θ 47.32, 1.921 Å, I 23, hkl 2 0 0; 2θ 47.52, 1.914 Å, I 26, hkl 0 2 0; 2θ 48.08, 1.893 Å, I 21, hkl 1 1 -6; 2θ 58.59, 1.576 Å, I 17, hkl 2 1 -4; 2θ 58.72, 1.572 Å, I 18, hkl 1 2 -4


Record 3
Diffraction record for Ba2CaTb2Ti3Cu2O14. The XRD peak list is computed, not measured: it uses a structure optimized by DFT (PBE) and λ = 1.5418 Å (Cu Kα).
Kinematic intensities with the Lorentz-polarization factor, no thermal factor.

Cell and atoms:
Unit cell a=3.8998 b=3.8998 c=19.9480 alpha=90.00 beta=90.00 gamma=90.00
Space group P4mm (No. 99)
Symmetry-distinct sites (fractional):
Ba1 0.0000 0.0000 0.0000 [1 per cell]
Ba2 0.0000 0.0000 0.3725 [1 per cell]
Ca1 0.0000 0.0000 0.7965 [1 per cell]
Tb1 0.0000 0.0000 0.1860 [1 per cell]
Tb2 0.0000 0.0000 0.5861 [1 per cell]
Ti1 0.5000 0.5000 0.4861 [1 per cell]
Ti2 0.5000 0.5000 0.6841 [1 per cell]
Ti3 0.5000 0.5000 0.8850 [1 per cell]
Cu1 0.5000 0.5000 0.1055 [1 per cell]
Cu2 0.5000 0.5000 0.2676 [1 per cell]
O1 0.0000 0.5000 0.1127 [2 per cell]
O2 0.0000 0.5000 0.2579 [2 per cell]
O3 0.0000 0.5000 0.4971 [2 per cell]
O4 0.0000 0.5000 0.6720 [2 per cell]
O5 0.0000 0.5000 0.8740 [2 per cell]
O6 0.5000 0.5000 0.3917 [1 per cell]
O7 0.5000 0.5000 0.5850 [1 per cell]
O8 0.5000 0.5000 0.7772 [1 per cell]
O9 0.5000 0.5000 0.9777 [1 per cell]

Largest 12 diffraction maxima, by angle, 2θ from 10° to 90°:
2θ 22.80, 3.900 Å, I 13, hkl 1 0 0; 2θ 32.10, 2.789 Å, I 100, hkl 1 0 5; 2θ 32.47, 2.758 Å, I 50, hkl 1 1 0; 2θ 35.48, 2.530 Å, I 11, hkl 1 0 6; 2θ 39.73, 2.268 Å, I 26, hkl 1 1 5; 2θ 45.47, 1.995 Å, I 10, hkl 0 0 10; 2θ 46.58, 1.950 Å, I 35, hkl 2 0 0; 2θ 56.98, 1.616 Å, I 15, hkl 1 1 10; 2θ 57.69, 1.598 Å, I 37, hkl 2 1 5; 2θ 67.13, 1.394 Å, I 12, hkl 2 0 10; 2θ 67.99, 1.379 Å, I 10, hkl 2 2 0; 2θ 77.38, 1.233 Å, I 8, hkl 3 1 0


Record 4
Diffraction record for Ba2Ca2TbTi3Cu2O14. The XRD peak list is computed, not measured: it uses a structure optimized by DFT (PBE) and λ = 1.5418 Å (Cu Kα).
Kinematic intensities with the Lorentz-polarization factor, no thermal factor.

Cell and atoms:
Unit cell a=3.9109 b=3.9109 c=19.6707 alpha=90.00 beta=90.00 gamma=90.00
Space group P4/mmm (No. 123)
Symmetry-distinct sites (fractional):
Ba1 0.0000 0.0000 0.1945 [2 per cell]
Ca1 0.0000 0.0000 0.3998 [2 per cell]
Tb1 0.0000 0.0000 0.0000 [1 per cell]
Ti1 0.5000 0.5000 0.3015 [2 per cell]
Ti2 0.5000 0.5000 0.5000 [1 per cell]
Cu1 0.5000 0.5000 0.0902 [2 per cell]
O1 0.0000 0.5000 0.0725 [4 per cell]
O2 0.0000 0.5000 0.3063 [4 per cell]
O3 0.0000 0.5000 0.5000 [2 per cell]
O4 0.5000 0.5000 0.2026 [2 per cell]
O5 0.5000 0.5000 0.4021 [2 per cell]

Largest 12 diffraction maxima, by angle, 2θ from 10° to 90°:
2θ 23.19, 3.836 Å, I 8, hkl 1 0 1; 2θ 32.31, 2.771 Å, I 100, hkl 1 0 5; 2θ 35.74, 2.512 Å, I 9, hkl 1 0 6; 2θ 39.85, 2.262 Å, I 14, hkl 1 1 5; 2θ 46.15, 1.967 Å, I 9, hkl 0 0 10; 2θ 46.44, 1.955 Å, I 24, hkl 2 0 0; 2θ 57.49, 1.603 Å, I 13, hkl 1 1 10; 2θ 57.68, 1.598 Å, I 25, hkl 2 1 5; 2θ 67.54, 1.387 Å, I 11, hkl 2 0 10; 2θ 67.77, 1.383 Å, I 7, hkl 2 2 0; 2θ 77.09, 1.237 Å, I 10, hkl 3 0 5; 2θ 85.92, 1.131 Å, I 6, hkl 2 2 10